Simulated PXRD pattern of MgTe3Ru for λ = 1.5418 Å (Cu Kα), from a crystal structure in Alexandria, relaxed with PBE.
Neutral-atom scattering factors, no anomalous dispersion.

Most intense lines, 2θ = 10–90°, low angle first:
(1 0 0), 2θ 16.9, I 93
(1 1 1), 2θ 29.4, I 68
(2 0 0), 2θ 34.1, I 100
(2 1 0), 2θ 38.3, I 47
(2 2 0), 2θ 49.0, I 71
(3 0 0), 2θ 52.2, I 24
(3 1 1), 2θ 58.2, I 29
(2 2 2), 2θ 61.1, I 24
(4 1 0), 2θ 74.4, I 13
(4 2 0), 2θ 82.0, I 31

Structure:
```
data_MgTe3Ru
_chemical_formula_sum 'Mg1 Te3 Ru1'
_symmetry_space_group_name_H-M 'P m -3 m'
_symmetry_Int_Tables_number 221
_symmetry_space_group_name_Hall '-P 4 2 3'
_cell_length_a 5.256
_cell_length_b 5.256
_cell_length_c 5.256
_cell_angle_alpha 90.00
_cell_angle_beta 90.00
_cell_angle_gamma 90.00
loop_
_atom_site_label
_atom_site_type_symbol
_atom_site_fract_x
_atom_site_fract_y
_atom_site_fract_z
_atom_site_occupancy
Mg1 Mg 0.000 0.000 0.000 1
Te1 Te 0.000 0.500 0.500 1
Ru1 Ru 0.500 0.500 0.500 1
```



Simulated PXRD pattern of Th2MgTlRu for λ = 1.5418 Å (Cu Kα), from a crystal structure in Alexandria, relaxed with PBE.
Neutral-atom scattering factors, no anomalous dispersion.

Most intense lines, 2θ = 10–90°, low angle first:
(0 0 1), 2θ 11.0, I 36
(1 1 0), 2θ 24.9, I 55
(2 0 -2), 2θ 26.3, I 37
(1 0 2), 2θ 27.9, I 95
(2 1 -1), 2θ 31.3, I 100
(2 1 0), 2θ 31.8, I 95
(3 0 0), 2θ 34.1, I 63
(1 1 -3), 2θ 39.1, I 81
(0 2 0), 2θ 45.3, I 45
(1 2 2), 2θ 54.1, I 35

Structure:
```
data_Th2MgTlRu
_chemical_formula_sum 'Th4 Mg2 Tl2 Ru2'
_symmetry_space_group_name_H-M 'P 1 21/m 1'
_symmetry_Int_Tables_number 11
_cell_length_a 8.311
_cell_length_b 4.002
_cell_length_c 8.443
_cell_angle_alpha 90.00
_cell_angle_beta 108.18
_cell_angle_gamma 90.00
loop_
_symmetry_equiv_pos_as_xyz
'x,y,z'
'-x,-y,-z'
'-x,y+1/2,-z'
'x,-y+1/2,z'
loop_
_atom_site_label
_atom_site_type_symbol
_atom_site_fract_x
_atom_site_fract_y
_atom_site_fract_z
_atom_site_occupancy
Th1 Th 0.009 0.250 0.228 1
Th2 Th 0.340 0.750 0.585 1
Mg1 Mg 0.352 0.250 0.927 1
Tl1 Tl 0.315 0.750 0.176 1
Ru1 Ru 0.118 0.250 0.616 1
```



Simulated PXRD pattern of MgTl2Ru for λ = 1.5418 Å (Cu Kα), from a crystal structure in Alexandria, relaxed with PBE.
Neutral-atom scattering factors, no anomalous dispersion.

Most intense lines, 2θ = 10–90°, low angle first:
(0 1 0), 2θ 19.4, I 31
(1 0 1), 2θ 30.9, I 20
(0 0 2), 2θ 34.5, I 30
(1 1 1), 2θ 36.8, I 100
(0 2 0), 2θ 39.4, I 21
(1 2 1), 2θ 50.9, I 11
(0 2 2), 2θ 53.3, I 17
(1 1 3), 2θ 63.3, I 21
(1 3 1), 2θ 69.7, I 16
(2 2 2), 2θ 78.2, I 11

Structure:
```
data_MgTl2Ru
_chemical_formula_sum 'Mg1 Tl2 Ru1'
_symmetry_space_group_name_H-M 'P m m m'
_symmetry_Int_Tables_number 47
_cell_length_a 3.481
_cell_length_b 4.578
_cell_length_c 5.195
_cell_angle_alpha 90.00
_cell_angle_beta 90.00
_cell_angle_gamma 90.00
loop_
_symmetry_equiv_pos_as_xyz
'x,y,z'
'-x,-y,-z'
'-x,-y,z'
'x,y,-z'
'x,-y,-z'
'-x,y,z'
'-x,y,-z'
'x,-y,z'
loop_
_atom_site_label
_atom_site_type_symbol
_atom_site_fract_x
_atom_site_fract_y
_atom_site_fract_z
_atom_site_occupancy
Mg1 Mg 0.000 0.000 0.000 1
Tl1 Tl 0.000 0.500 0.500 1
Tl2 Tl 0.500 0.500 0.000 1
Ru1 Ru 0.500 0.000 0.500 1
```